# 1
Computed powder diffraction line list
Compound: NaCuBiF6
Radiation: Cu Kα X-rays
Structure: a crystal structure in Alexandria, relaxed with GGA-PBE
Neutral-atom scattering factors, no anomalous dispersion.

Crystal structure
a b c (Å): 5.7687 5.7687 9.4471
angles (deg): 90.00 90.00 120.00
Fractional coordinates of all 18 atoms:
Na: 0.0000 0.0000 0.0000
Na: 0.0000 0.0000 0.5000
Cu: 0.3333 0.6667 0.2500
Cu: 0.6667 0.3333 0.7500
Bi: 0.3333 0.6667 0.7500
Bi: 0.6667 0.3333 0.2500
F: 0.0304 0.3669 0.1329
F: 0.0304 0.6635 0.3671
F: 0.3365 0.3669 0.3671
F: 0.3365 0.9696 0.1329
F: 0.3669 0.0304 0.6329
F: 0.3669 0.3365 0.8671
F: 0.6331 0.6635 0.1329
F: 0.6331 0.9696 0.3671
F: 0.6635 0.0304 0.8671
F: 0.6635 0.6331 0.6329
F: 0.9696 0.3365 0.6329
F: 0.9696 0.6331 0.8671

Main lines, low angle first (5° ≤ 2θ ≤ 70°):
d/Å, Rel. int.
4.996, 62
4.724, 85
4.416, 72
3.432, 92
2.884, 64
2.664, 28
2.462, 100
2.208, 27
1.827, 72
1.665, 33

---

# 2
Computed powder diffraction line list
Compound: Tb3NdEr5
Radiation: Cu Kα X-rays
Structure: a crystal structure in Alexandria, relaxed with GGA-PBE
Neutral-atom scattering factors, no anomalous dispersion.

Crystal structure
a b c (Å): 8.7983 8.7983 11.2785
angles (deg): 107.26 107.26 44.58
Fractional coordinates of all 18 atoms:
Tb: 0.0000 0.0000 0.0000
Tb: 0.0000 0.0000 0.5000
Tb: 0.1376 0.3852 0.6446
Tb: 0.3852 0.1376 0.1446
Tb: 0.6148 0.8624 0.8554
Tb: 0.8624 0.6148 0.3554
Nd: 0.2275 0.7725 0.7500
Nd: 0.7725 0.2275 0.2500
Er: 0.0544 0.2983 0.8750
Er: 0.2983 0.0544 0.3750
Er: 0.3189 0.6811 0.2500
Er: 0.3880 0.3963 0.4542
Er: 0.3963 0.3880 0.9542
Er: 0.6037 0.6120 0.0458
Er: 0.6120 0.6037 0.5458
Er: 0.6811 0.3189 0.7500
Er: 0.7017 0.9456 0.6250
Er: 0.9456 0.7017 0.1250

Main lines, low angle first (5° ≤ 2θ ≤ 70°):
d/Å, Rel. int.
2.902, 31
2.846, 100
2.830, 32
2.818, 83
2.800, 18
2.737, 29
2.675, 12
2.523, 12
2.435, 12
1.621, 18